Diffraction record for SrLaMnWO6. The X-ray powder pattern is calculated, not measured: it uses a crystal structure in Alexandria, relaxed with PBE+U and Cu Kα, 1.54184 Å.
No peak broadening, texture or thermal motion is included.

Main lines, low angle first (5 to 70 degrees two-theta):
| Position (°2θ) | I_rel |
| --- | --- |
| 18.8 | 37 |
| 30.8 | 59 |
| 31.0 | 100 |
| 44.1 | 29 |
| 54.9 | 47 |
| 55.3 | 23 |

Crystal structure
abc: 5.768 5.768 5.768
angles: 119.57 119.57 90.74
Positions (direct):
Sr 0.000 0.000 0.000
La 0.500 0.500 0.000
Mn 0.250 0.750 0.500
W 0.750 0.250 0.500
O 0.070 0.089 0.631
O 0.457 0.438 0.369
O 0.511 0.011 0.500
O 0.562 0.930 0.019
O 0.911 0.543 0.981
O 0.989 0.489 0.500